No. 1
Simulated powder diffractogram
Compound: Zr6MoOs
Radiation: Cu Kα X-rays
Structure: the GGA-PBE geometry in Alexandria

Crystal structure
a = 4.7152 Å, b = 4.7152 Å, c = 14.8718 Å
α = 90.00°, β = 90.00°, γ = 90.00°
Space group I4/mmm (No. 139)
Unique sites:
Zr (0.0000, 0.0000, 0.2463)
Zr (0.0000, 0.5000, 0.1078)
Mo (0.0000, 0.0000, 0.0000)
Os (0.0000, 0.0000, 0.5000)

Main lines, sorted by position (15° ≤ 2θ ≤ 90°):
index, Position (°2θ), intensity
1 1 4, 36.19, 100
2 0 0, 38.17, 47
1 1 6, 45.60, 10
2 2 0, 55.09, 16
2 0 8, 63.76, 14
3 1 4, 67.71, 31



No. 2
Simulated powder diffractogram
Compound: CaMg6Co
Radiation: Cu Kα X-rays
Structure: the GGA-PBE geometry in Alexandria

Crystal structure
a = 4.8842 Å, b = 6.2694 Å, c = 11.7891 Å
α = 90.00°, β = 90.00°, γ = 90.00°
Space group Amm2 (No. 38)
Unique sites:
Ca (0.0000, 0.0000, 0.0000)
Mg (0.0000, 0.0000, 0.5362)
Mg (0.0000, 0.2420, 0.7730)
Mg (0.5000, 0.0000, 0.3754)
Mg (0.5000, 0.2427, 0.6335)
Co (0.5000, 0.0000, 0.8294)

Main lines, sorted by position (15° ≤ 2θ ≤ 90°):
index, Position (°2θ), intensity
0 1 1, 16.01, 28
0 2 2, 32.35, 31
1 1 3, 32.55, 18
1 0 4, 35.58, 53
2 0 0, 36.80, 39
1 2 2, 37.34, 100



No. 3
Simulated powder diffractogram
Compound: Ac2Mg5Pb3
Radiation: Cu Kα X-rays
Structure: the GGA-PBE geometry in Alexandria

Crystal structure
a = 12.1397 Å, b = 14.2207 Å, c = 6.7762 Å
α = 90.00°, β = 90.00°, γ = 90.00°
Space group Ibam (No. 72)
Unique sites:
Ac (0.2336, 0.1252, 0.0000)
Mg (0.0000, 0.2800, 0.2500)
Mg (0.0000, 0.5000, 0.2500)
Mg (0.1119, 0.1427, 0.5000)
Pb (0.0000, 0.0000, 0.2500)
Pb (0.1567, 0.3879, 0.0000)

Main lines, sorted by position (15° ≤ 2θ ≤ 90°):
index, Position (°2θ), intensity
2 1 1, 20.61, 45
3 2 1, 28.60, 84
2 4 0, 29.11, 100
2 0 2, 30.21, 94
0 4 2, 36.64, 99
5 2 1, 41.50, 69



No. 4
Simulated powder diffractogram
Compound: Ba4Bi3F17
Radiation: Cu Kα X-rays
Structure: the GGA-PBE geometry in Alexandria

Crystal structure
a = 9.5464 Å, b = 9.6010 Å, c = 9.6644 Å
α = 72.70°, β = 72.80°, γ = 73.01°
Space group P1 (No. 1)
Unique sites:
Ba (0.0000, 0.0000, 0.0000)
Ba (0.0396, 0.6277, 0.7886)
Ba (0.1977, 0.9506, 0.3655)
Ba (0.2498, 0.5803, 0.1679)
Ba (0.3655, 0.2039, 0.9386)
Ba (0.4164, 0.8429, 0.7441)
Ba (0.5710, 0.1587, 0.3253)
Ba (0.6140, 0.7879, 0.1033)
Bi (0.1205, 0.2747, 0.5943)
Bi (0.4635, 0.5044, 0.5198)
Bi (0.6935, 0.4247, 0.8948)
Bi (0.7833, 0.0706, 0.6666)
Bi (0.8415, 0.7344, 0.4418)
Bi (0.9242, 0.3538, 0.2169)
F (0.0386, 0.0487, 0.6684)
F (0.0478, 0.5427, 0.5110)
F (0.0489, 0.8128, 0.2675)
F (0.0975, 0.1525, 0.1315)
F (0.1184, 0.2840, 0.3450)
F (0.1309, 0.4373, 0.0368)
F (0.1700, 0.7488, 0.9184)
F (0.2276, 0.1075, 0.7937)
F (0.2636, 0.4060, 0.6986)
F (0.2916, 0.7154, 0.6001)
F (0.3147, 0.8898, 0.0506)
F (0.3269, 0.0664, 0.5086)
F (0.3496, 0.3854, 0.4110)
F (0.3874, 0.6801, 0.3158)
F (0.4473, 0.0343, 0.1915)
F (0.4841, 0.3477, 0.0739)
F (0.5119, 0.4776, 0.7597)
F (0.5220, 0.6290, 0.9710)
F (0.5680, 0.2381, 0.6028)
F (0.5722, 0.9776, 0.8345)
F (0.6090, 0.6847, 0.4591)
F (0.6546, 0.4342, 0.3162)
F (0.6640, 0.9331, 0.5411)
F (0.7104, 0.1774, 0.8710)
F (0.7612, 0.6306, 0.7096)
F (0.7618, 0.9071, 0.2318)
F (0.7975, 0.2461, 0.1019)
F (0.8152, 0.5365, 0.0149)
F (0.8528, 0.8728, 0.8822)
F (0.8642, 0.3062, 0.5895)
F (0.8648, 0.1374, 0.3942)
F (0.9145, 0.5881, 0.2603)
F (0.9536, 0.8460, 0.5628)
F (0.9695, 0.3377, 0.8140)

Main lines, sorted by position (15° ≤ 2θ ≤ 90°):
index, Position (°2θ), intensity
1 -1 2, 25.28, 100
2 1 -1, 25.42, 49
2 2 2, 25.48, 47
0 1 3, 29.18, 28
1 3 0, 29.42, 27
2 -3 1, 41.97, 73



No. 5
Simulated powder diffractogram
Compound: U4PC2N
Radiation: Cu Kα X-rays
Structure: the GGA-PBE geometry in Alexandria

Crystal structure
a = 3.7097 Å, b = 11.9653 Å, c = 12.4557 Å
α = 90.00°, β = 90.00°, γ = 90.00°
Space group Cmcm (No. 63)
Unique sites:
U (0.0000, 0.0000, 0.0000)
U (0.0000, 0.2711, 0.1063)
U (0.0000, 0.4362, 0.7500)
P (0.0000, 0.1101, 0.7500)
C (0.0000, 0.3675, 0.5678)
N (0.0000, 0.1662, 0.2500)

Main lines, sorted by position (15° ≤ 2θ ≤ 90°):
index, Position (°2θ), intensity
1 1 2, 28.99, 64
0 2 4, 32.41, 100
1 1 3, 33.24, 94
1 3 1, 33.77, 76
1 3 2, 36.07, 38
2 2 4, 60.08, 39